1.
Starting from a DFT-relaxed cell (GGA-PBE, Alexandria), the X-ray diffraction stick pattern of Pm3Nd4Dy5 was computed for Cu Kα, 1.54184 Å.
No peak broadening, texture or thermal motion is included.

Crystal structure
a b c (Å): 6.2639 7.2251 8.8562
angles (deg): 90.08 90.08 90.08
Space group P-1 (No. 2)
Asymmetric unit:
Pm1 0.0000 0.0000 0.0000 [1 per cell]
Pm2 0.1681 0.7514 0.6683 [2 per cell]
Nd1 0.1680 0.2489 0.6681 [2 per cell]
Nd2 0.3318 0.5001 0.3305 [2 per cell]
Dy1 0.0000 0.5000 0.0000 [1 per cell]
Dy2 0.3344 0.0000 0.3308 [2 per cell]
Dy3 0.5002 0.2487 0.0001 [2 per cell]

Peak list (8 most intense, 2θ = 10–80°, low angle first)
Position (°2θ)	I/Imax
30.3	100
35.1	51
50.5	36
60.0	29
60.1	14
63.0	12
74.1	4
74.3	2

2.
Starting from a DFT-relaxed cell (GGA-PBE, Alexandria), the X-ray diffraction stick pattern of MnVAs2 was computed for Cu Kα, 1.54184 Å.
No peak broadening, texture or thermal motion is included.

Crystal structure
a b c (Å): 3.4087 6.1998 5.7312
angles (deg): 90.00 90.00 90.00
Space group Pmc2_1 (No. 26)
Asymmetric unit:
Mn1 0.0000 0.0630 0.0000 [2 per cell]
V1 0.5000 0.4436 0.0093 [2 per cell]
As1 0.0000 0.3239 0.3089 [2 per cell]
As2 0.5000 0.1680 0.7009 [2 per cell]

Peak list (12 most intense, 2θ = 10–80°, low angle first)
Position (°2θ)	I/Imax
32.8	51
33.8	100
41.2	19
42.5	42
43.0	32
43.8	70
50.0	24
51.7	35
53.8	26
64.5	14
71.2	13
76.5	13

3.
Starting from a DFT-relaxed cell (GGA-PBE, Alexandria), the X-ray diffraction stick pattern of Sm3Cd2Hg4 was computed for Cu Kα, 1.54184 Å.
No peak broadening, texture or thermal motion is included.

Crystal structure
a b c (Å): 11.1164 5.0150 9.3245
angles (deg): 90.00 118.95 90.00
Space group C2/m (No. 12)
Asymmetric unit:
Sm1 0.0000 0.0000 0.0000 [2 per cell]
Sm2 0.1638 0.5000 0.6699 [4 per cell]
Cd1 0.1132 0.5000 0.2816 [4 per cell]
Hg1 0.0648 0.0000 0.3950 [4 per cell]
Hg2 0.2137 0.5000 0.0508 [4 per cell]

Peak list (12 most intense, 2θ = 10–80°, low angle first)
Position (°2θ)	I/Imax
25.5	11
32.9	100
35.8	32
36.0	62
44.6	10
49.4	21
49.6	10
52.3	10
62.5	11
62.7	16
64.4	12
65.0	22

4.
Starting from a DFT-relaxed cell (GGA-PBE, Alexandria), the X-ray diffraction stick pattern of Ac4CeTe5 was computed for Cu Kα, 1.54184 Å.
No peak broadening, texture or thermal motion is included.

Crystal structure
a b c (Å): 4.6925 6.6347 23.4437
angles (deg): 90.00 90.00 90.00
Space group Immm (No. 71)
Asymmetric unit:
Ac1 0.0000 0.0000 0.0999 [4 per cell]
Ac2 0.0000 0.0000 0.3044 [4 per cell]
Ce1 0.0000 0.0000 0.5000 [2 per cell]
Te1 0.0000 0.5000 0.0942 [4 per cell]
Te2 0.0000 0.5000 0.2981 [4 per cell]
Te3 0.0000 0.5000 0.5000 [2 per cell]

Peak list (12 most intense, 2θ = 10–80°, low angle first)
Position (°2θ)	I/Imax
23.2	11
26.9	100
27.8	1
38.4	78
45.3	6
47.5	28
54.4	1
55.4	13
60.9	3
62.6	37
69.4	27
74.3	2

5.
Starting from a DFT-relaxed cell (GGA-PBE, Alexandria), the X-ray diffraction stick pattern of TbDy3Tl3Te8 was computed for Cu Kα, 1.54184 Å.
No peak broadening, texture or thermal motion is included.

Crystal structure
a b c (Å): 15.2456 8.7876 9.6355
angles (deg): 90.00 121.88 90.00
Space group C2/m (No. 12)
Asymmetric unit:
Tb1 0.0000 0.0000 0.0000 [2 per cell]
Dy1 0.0000 0.5000 0.0000 [2 per cell]
Dy2 0.2500 0.2500 0.0000 [4 per cell]
Tl1 0.0000 0.0000 0.5000 [2 per cell]
Tl2 0.2500 0.2500 0.5000 [4 per cell]
Te1 0.0122 0.2522 0.7843 [8 per cell]
Te2 0.2386 0.5000 0.2157 [4 per cell]
Te3 0.2400 0.0000 0.2157 [4 per cell]

Peak list (12 most intense, 2θ = 10–80°, low angle first)
Position (°2θ)	I/Imax
10.8	4
12.2	5
13.7	4
27.6	100
37.6	39
41.1	36
44.3	7
50.2	19
56.9	12
62.0	15
66.8	16
72.5	8

6.
Starting from a DFT-relaxed cell (GGA-PBE, Alexandria), the X-ray diffraction stick pattern of Y2HSe was computed for Cu Kα, 1.54184 Å.
No peak broadening, texture or thermal motion is included.

Crystal structure
a b c (Å): 3.9545 9.6201 4.3748
angles (deg): 90.00 90.00 90.00
Space group Pmn2_1 (No. 31)
Asymmetric unit:
Y1 0.0000 0.0774 0.0000 [2 per cell]
Y2 0.0000 0.6826 0.9965 [2 per cell]
H1 0.0000 0.8800 0.7322 [2 per cell]
Se1 0.0000 0.3743 0.0000 [2 per cell]

Peak list (12 most intense, 2θ = 10–80°, low angle first)
Position (°2θ)	I/Imax
27.8	22
30.5	100
34.7	31
36.1	27
41.3	21
41.7	29
45.9	16
49.0	12
55.9	15
58.8	13
63.4	12
68.6	9

7.
Starting from a DFT-relaxed cell (GGA-PBE, Alexandria), the X-ray diffraction stick pattern of Ho2Er8Th3 was computed for Cu Kα, 1.54184 Å.
No peak broadening, texture or thermal motion is included.

Crystal structure
a b c (Å): 6.1313 6.1313 11.1035
angles (deg): 100.50 90.04 99.69
Space group P-1 (No. 2)
Asymmetric unit:
Ho1 0.2309 0.3840 0.0371 [2 per cell]
Er1 0.0775 0.4621 0.3480 [2 per cell]
Er2 0.1562 0.9242 0.1933 [2 per cell]
Er3 0.3068 0.8471 0.8848 [2 per cell]
Er4 0.3869 0.3064 0.7291 [2 per cell]
Th1 0.0000 0.0000 0.5000 [1 per cell]
Th2 0.4612 0.7677 0.5751 [2 per cell]

Peak list (12 most intense, 2θ = 10–80°, low angle first)
Position (°2θ)	I/Imax
31.0	100
31.1	99
35.9	68
36.1	33
51.7	36
51.8	12
51.9	12
61.4	22
61.5	22
61.7	29
61.9	14
64.8	12

8.
Starting from a DFT-relaxed cell (GGA-PBE, Alexandria), the X-ray diffraction stick pattern of Tb5DyAu6 was computed for Cu Kα, 1.54184 Å.
No peak broadening, texture or thermal motion is included.

Crystal structure
a b c (Å): 5.1327 7.1473 15.4431
angles (deg): 90.00 90.00 90.00
Space group Immm (No. 71)
Asymmetric unit:
Tb1 0.0000 0.0000 0.0000 [2 per cell]
Tb2 0.0000 0.0000 0.3332 [4 per cell]
Tb3 0.0000 0.5000 0.3334 [4 per cell]
Dy1 0.0000 0.5000 0.0000 [2 per cell]
Au1 0.0000 0.2484 0.5000 [4 per cell]
Au2 0.0000 0.2508 0.1661 [8 per cell]

Peak list (12 most intense, 2θ = 10–80°, low angle first)
Position (°2θ)	I/Imax
24.5	1
34.9	26
35.0	25
35.2	100
50.2	18
51.1	9
62.7	19
62.9	19
63.4	18
73.6	3
73.9	3
74.5	12

9.
Starting from a DFT-relaxed cell (GGA-PBE, Alexandria), the X-ray diffraction stick pattern of Tm4BSe3 was computed for Cu Kα, 1.54184 Å.
No peak broadening, texture or thermal motion is included.

Crystal structure
a b c (Å): 8.0373 11.2464 3.9136
angles (deg): 90.00 90.00 90.00
Space group Cmmm (No. 65)
Asymmetric unit:
Tm1 0.0000 0.2265 0.0000 [4 per cell]
Tm2 0.2169 0.0000 0.5000 [4 per cell]
B1 0.0000 0.0000 0.0000 [2 per cell]
Se1 0.0000 0.5000 0.0000 [2 per cell]
Se2 0.2500 0.2500 0.5000 [4 per cell]

Peak list (12 most intense, 2θ = 10–80°, low angle first)
Position (°2θ)	I/Imax
27.3	18
27.8	20
31.9	100
35.0	11
41.4	7
45.1	11
45.7	44
46.4	13
56.3	10
57.4	12
66.7	7
75.8	8

10.
Starting from a DFT-relaxed cell (GGA-PBE, Alexandria), the X-ray diffraction stick pattern of Rb2AgF3 was computed for Cu Kα, 1.54184 Å.
No peak broadening, texture or thermal motion is included.

Crystal structure
a b c (Å): 12.5248 6.9674 6.9029
angles (deg): 90.00 112.71 90.00
Space group C2/c (No. 15)
Asymmetric unit:
Rb1 0.1564 0.1499 0.1780 [8 per cell]
Ag1 0.0000 0.4493 0.7500 [4 per cell]
F1 0.0000 0.0975 0.7500 [4 per cell]
F2 0.1771 0.4944 0.4507 [8 per cell]

Peak list (12 most intense, 2θ = 10–80°, low angle first)
Position (°2θ)	I/Imax
14.8	28
25.4	100
26.4	60
28.0	49
29.0	35
29.2	79
31.5	65
34.0	35
37.0	38
39.6	29
47.2	34
70.3	26

11.
Starting from a DFT-relaxed cell (GGA-PBE, Alexandria), the X-ray diffraction stick pattern of Ac2Tl5In was computed for Cu Kα, 1.54184 Å.
No peak broadening, texture or thermal motion is included.

Crystal structure
a b c (Å): 7.0833 14.1680 4.9717
angles (deg): 90.00 90.00 90.00
Space group Pbam (No. 55)
Asymmetric unit:
Ac1 0.2475 0.1248 0.0000 [4 per cell]
Tl1 0.0000 0.0000 0.5000 [2 per cell]
Tl2 0.9999 0.2519 0.5000 [4 per cell]
Tl3 0.2451 0.3764 0.0000 [4 per cell]
In1 0.0000 0.5000 0.5000 [2 per cell]

Peak list (12 most intense, 2θ = 10–80°, low angle first)
Position (°2θ)	I/Imax
14.0	1
25.2	1
31.0	100
35.9	34
36.1	17
51.6	12
51.8	24
61.4	29
61.8	14
64.6	13
76.0	4
76.7	2

12.
Starting from a DFT-relaxed cell (GGA-PBE, Alexandria), the X-ray diffraction stick pattern of BaV2OsAu was computed for Cu Kα, 1.54184 Å.
No peak broadening, texture or thermal motion is included.

Crystal structure
a b c (Å): 4.7818 4.7818 5.8165
angles (deg): 90.00 90.00 90.00
Space group P4/mmm (No. 123)
Asymmetric unit:
Ba1 0.0000 0.0000 0.0000 [1 per cell]
V1 0.0000 0.5000 0.5000 [2 per cell]
Os1 0.5000 0.5000 0.0000 [1 per cell]
Au1 0.0000 0.0000 0.5000 [1 per cell]

Peak list (12 most intense, 2θ = 10–80°, low angle first)
Position (°2θ)	I/Imax
18.6	28
24.1	92
26.4	100
30.6	40
30.7	76
37.6	88
40.9	64
45.2	36
49.3	81
54.3	30
63.6	46
70.1	28

13.
Starting from a DFT-relaxed cell (GGA-PBE, Alexandria), the X-ray diffraction stick pattern of Cs4Na3NpF12 was computed for Cu Kα, 1.54184 Å.
No peak broadening, texture or thermal motion is included.

Crystal structure
a b c (Å): 9.2531 9.2531 9.2531
angles (deg): 90.00 90.00 90.00
Space group Im-3m (No. 229)
Asymmetric unit:
Cs1 0.2500 0.2500 0.2500 [8 per cell]
Na1 0.0000 0.0000 0.5000 [6 per cell]
Np1 0.0000 0.0000 0.0000 [2 per cell]
F1 0.0000 0.0000 0.2263 [12 per cell]
F2 0.0000 0.2500 0.5000 [12 per cell]

Peak list (12 most intense, 2θ = 10–80°, low angle first)
Position (°2θ)	I/Imax
13.5	42
23.6	24
27.3	100
30.6	10
33.5	14
36.3	13
38.9	38
48.2	42
50.3	9
56.2	24
63.6	20
77.1	22